No. 1
Diffraction record for RbTaReMo2. The X-ray diffraction stick pattern is calculated, not measured: it uses a GGA-PBE-relaxed structure and Cu Kα, 1.54184 Å.

Structure:
Cell: 4.9657 4.9657 4.9524 Å, 90.00 90.00 90.00°
Space group P4/mmm (No. 123)
Asymmetric unit:
Rb (0.0000, 0.0000, 0.0000) [1 per cell]
Ta (0.5000, 0.5000, 0.5000) [1 per cell]
Re (0.5000, 0.5000, 0.0000) [1 per cell]
Mo (0.0000, 0.5000, 0.5000) [2 per cell]

Largest 10 diffraction maxima, in order of rising 2θ, 2θ from 5° to 70°:
2θ (°), Rel. int.
17.87, 100
25.37, 41
31.23, 54
36.18, 90
36.28, 45
40.67, 51
44.78, 19
52.14, 94
55.57, 26
65.13, 32


No. 2
Diffraction record for Li2IrCl5. The X-ray diffraction stick pattern is calculated, not measured: it uses a GGA-PBE-relaxed structure and Cu Kα, 1.54184 Å.

Structure:
Cell: 9.8964 9.0025 4.7038 Å, 90.00 114.51 90.00°
Space group Cm (No. 8)
Asymmetric unit:
Li (0.0000, 0.2305, 0.0000) [4 per cell]
Ir (0.2688, 0.5000, 0.0922) [2 per cell]
Cl (0.0082, 0.5000, 0.8680) [2 per cell]
Cl (0.0361, 0.0000, 0.3188) [2 per cell]
Cl (0.2678, 0.2372, 0.0878) [4 per cell]
Cl (0.3230, 0.5000, 0.6371) [2 per cell]

Largest 10 diffraction maxima, in order of rising 2θ, 2θ from 5° to 70°:
2θ (°), Rel. int.
13.91, 100
19.72, 46
20.75, 28
21.35, 40
21.93, 15
31.42, 33
35.51, 13
38.36, 11
40.06, 21
40.32, 12


Number 2 is which compound?
Li2IrCl5